# 1
This entry pairs a crystal structure of NaSm2AlO5 with its simulated X-ray diffraction stick pattern. Radiation: Cu Kα, 1.54184 Å. Structure: a structure optimized by DFT (GGA-PBE).

Cell and atoms:
Unit cell a=6.603 b=6.603 c=5.655 alpha=90.00 beta=90.00 gamma=90.00
Space group P4/mbm (No. 127)
Asymmetric unit:
Na 0.000 0.000 0.000
Sm 0.179 0.321 0.500
Al 0.000 0.500 0.000
O 0.000 0.000 0.500
O 0.134 0.634 0.233

Largest 6 diffraction maxima, sorted by position, 10 to 90 degrees two-theta:
h k l  2θ/deg  I/Imax
0 0 1  15.7  100
2 1 0  30.3  32
2 0 1  31.4  56
0 0 2  31.6  25
2 1 1  34.3  84
2 1 2  44.4  57


# 2
This entry pairs a crystal structure of Na3AlTl3O8 with its simulated X-ray diffraction stick pattern. Radiation: Cu Kα, 1.54184 Å. Structure: a structure optimized by DFT (GGA-PBE).

Cell and atoms:
Unit cell a=6.5737 b=6.5737 c=16.8934 alpha=90.00 beta=90.00 gamma=120.00
Space group R-3m (No. 166, hexagonal axes)
Asymmetric unit:
Na 0.0000 0.5000 0.0000
Al 0.0000 0.0000 0.5000
Tl 0.0000 0.5000 0.5000
O 0.0000 0.0000 0.2428
O 0.0467 0.5233 0.2318

Largest 6 diffraction maxima, sorted by position, 10 to 90 degrees two-theta:
h k l  2θ/deg  I/Imax
0 0 3  15.7  100
0 2 1  31.9  46
2 0 2  33.2  47
0 2 4  38.1  64
2 0 8  54.1  21
2 2 6  65.8  22


# 3
This entry pairs a crystal structure of Na3AlP2 with its simulated X-ray diffraction stick pattern. Radiation: Cu Kα, 1.54184 Å. Structure: a structure optimized by DFT (GGA-PBE).

Cell and atoms:
Unit cell a=6.547 b=12.939 c=7.179 alpha=90.00 beta=90.00 gamma=90.00
Space group Ibam (No. 72)
Asymmetric unit:
Na 0.000 0.000 0.250
Na 0.000 0.257 0.250
Al 0.000 0.500 0.000
P 0.240 0.379 0.000

Largest 6 diffraction maxima, sorted by position, 10 to 90 degrees two-theta:
h k l  2θ/deg  I/Imax
1 2 1  23.0  100
1 1 2  29.2  36
2 0 2  37.2  38
0 4 2  37.4  38
2 4 0  39.2  73
2 4 4  66.0  28


# 4
This entry pairs a crystal structure of Na2AlP2S6 with its simulated X-ray diffraction stick pattern. Radiation: Cu Kα, 1.54184 Å. Structure: a structure optimized by DFT (GGA-PBE).

Cell and atoms:
Unit cell a=6.3272 b=6.3272 c=6.6234 alpha=90.00 beta=90.00 gamma=120.00
Space group P-3 (No. 147)
Asymmetric unit:
Na 0.3333 0.6667 0.4024
Al 0.0000 0.0000 0.0000
P 0.3333 0.6667 0.9199
S 0.0791 0.3371 0.7742

Largest 6 diffraction maxima, sorted by position, 10 to 90 degrees two-theta:
h k l  2θ/deg  I/Imax
0 0 1  13.4  48
1 0 1  21.0  41
1 1 1  31.3  100
0 1 2  31.6  55
2 0 1  35.5  44
1 1 2  39.4  74


# 5
This entry pairs a crystal structure of NaSr2AlP3 with its simulated X-ray diffraction stick pattern. Radiation: Cu Kα, 1.54184 Å. Structure: a structure optimized by DFT (GGA-PBE).

Cell and atoms:
Unit cell a=13.484 b=9.097 c=11.571 alpha=90.00 beta=106.87 gamma=90.00
Space group C2/m (No. 12)
Asymmetric unit:
Na 0.000 0.197 0.000
Na 0.146 0.000 0.235
Sr 0.030 0.278 0.686
Sr 0.250 0.250 0.000
Sr 0.250 0.250 0.500
Al 0.091 0.500 0.117
Al 0.197 0.000 0.732
P 0.087 0.000 0.512
P 0.087 0.500 0.513
P 0.090 0.000 0.862
P 0.090 0.500 0.905
P 0.184 0.296 0.228

Largest 6 diffraction maxima, sorted by position, 10 to 90 degrees two-theta:
h k l  2θ/deg  I/Imax
0 2 0  19.5  32
2 2 -2  26.6  36
2 2 2  31.1  85
2 0 -4  31.2  100
4 2 0  34.1  88
0 4 0  39.6  36


# 6
This entry pairs a crystal structure of NaAlPb with its simulated X-ray diffraction stick pattern. Radiation: Cu Kα, 1.54184 Å. Structure: a structure optimized by DFT (GGA-PBE).

Cell and atoms:
Unit cell a=4.542 b=4.526 c=7.577 alpha=90.00 beta=106.56 gamma=90.00
Space group P2/m (No. 10)
Asymmetric unit:
Na 0.166 0.000 0.325
Al 0.000 0.500 0.000
Al 0.500 0.000 0.000
Pb 0.346 0.500 0.708

Largest 6 diffraction maxima, sorted by position, 10 to 90 degrees two-theta:
h k l  2θ/deg  I/Imax
0 1 0  19.6  97
0 0 2  24.5  48
1 0 1  26.7  41
0 1 2  31.6  50
1 1 1  33.4  100
1 1 -2  33.7  91


# 7
This entry pairs a crystal structure of NaAlPb with its simulated X-ray diffraction stick pattern. Radiation: Cu Kα, 1.54184 Å. Structure: a structure optimized by DFT (GGA-PBE).

Cell and atoms:
Unit cell a=6.429 b=4.700 c=9.976 alpha=90.00 beta=90.00 gamma=90.00
Space group Pnma (No. 62)
Asymmetric unit:
Na 0.130 0.250 0.080
Al 0.100 0.250 0.730
Pb 0.134 0.250 0.405

Largest 6 diffraction maxima, sorted by position, 10 to 90 degrees two-theta:
h k l  2θ/deg  I/Imax
1 0 1  16.4  85
1 0 2  22.6  60
1 1 1  25.1  80
0 1 3  33.0  100
2 1 0  33.8  97
2 0 3  39.0  63


# 8
This entry pairs a crystal structure of NaAlPd3 with its simulated X-ray diffraction stick pattern. Radiation: Cu Kα, 1.54184 Å. Structure: a structure optimized by DFT (GGA-PBE).

Cell and atoms:
Unit cell a=4.653 b=4.653 c=4.653 alpha=90.00 beta=90.00 gamma=90.00
Space group Pm-3m (No. 221)
Asymmetric unit:
Na 0.000 0.000 0.000
Al 0.500 0.500 0.500
Pd 0.000 0.500 0.500

Largest 6 diffraction maxima, sorted by position, 10 to 90 degrees two-theta:
h k l  2θ/deg  I/Imax
1 0 0  19.1  37
1 1 1  33.3  100
2 0 0  38.7  68
2 1 0  43.5  17
2 2 0  55.9  45
3 1 1  66.7  38


# 9
This entry pairs a crystal structure of Na2PrAl9 with its simulated X-ray diffraction stick pattern. Radiation: Cu Kα, 1.54184 Å. Structure: a structure optimized by DFT (GGA-PBE).

Cell and atoms:
Unit cell a=5.6205 b=5.6205 c=26.8359 alpha=90.00 beta=90.00 gamma=120.00
Space group R-3m (No. 166, hexagonal axes)
Asymmetric unit:
Na 0.0000 0.0000 0.1438
Pr 0.0000 0.0000 0.0000
Al 0.0000 0.0000 0.3345
Al 0.0000 0.0000 0.5000
Al 0.0051 0.5025 0.9176

Largest 6 diffraction maxima, sorted by position, 10 to 90 degrees two-theta:
h k l  2θ/deg  I/Imax
1 0 4  22.6  32
1 0 7  29.7  33
1 1 0  31.8  40
0 1 8  32.4  34
0 2 1  37.1  37
1 1 6  37.8  100


# 10
This entry pairs a crystal structure of NaAl2Pt3 with its simulated X-ray diffraction stick pattern. Radiation: Cu Kα, 1.54184 Å. Structure: a structure optimized by DFT (GGA-PBE).

Cell and atoms:
Unit cell a=5.6749 b=5.6749 c=3.8501 alpha=90.00 beta=90.00 gamma=120.00
Space group P6/mmm (No. 191)
Asymmetric unit:
Na 0.0000 0.0000 0.0000
Al 0.3333 0.6667 0.0000
Pt 0.0000 0.5000 0.5000

Largest 6 diffraction maxima, sorted by position, 10 to 90 degrees two-theta:
h k l  2θ/deg  I/Imax
1 0 0  18.0  54
0 0 1  23.1  64
1 0 1  29.5  31
2 0 0  36.6  80
2 0 1  43.7  100
2 0 2  61.2  37


# 11
This entry pairs a crystal structure of Na14Al2S9 with its simulated X-ray diffraction stick pattern. Radiation: Cu Kα, 1.54184 Å. Structure: a structure optimized by DFT (GGA-PBE).

Cell and atoms:
Unit cell a=7.9861 b=7.9861 c=10.9351 alpha=90.00 beta=90.00 gamma=120.00
Space group P-3 (No. 147)
Asymmetric unit:
Na 0.0000 0.0000 0.2469
Na 0.0414 0.6792 0.4052
Na 0.0933 0.4069 0.1022
Al 0.3333 0.6667 0.7695
S 0.0000 0.0000 0.5000
S 0.0967 0.3719 0.8413
S 0.3333 0.6667 0.5590

Largest 6 diffraction maxima, sorted by position, 10 to 90 degrees two-theta:
h k l  2θ/deg  I/Imax
0 1 1  15.2  62
2 -1 1  23.7  82
0 0 3  24.4  44
3 -1 1  35.3  99
3 0 0  39.1  70
2 -1 4  40.0  100


# 12
This entry pairs a crystal structure of NaAlS2 with its simulated X-ray diffraction stick pattern. Radiation: Cu Kα, 1.54184 Å. Structure: a structure optimized by DFT (GGA-PBE).

Cell and atoms:
Unit cell a=8.412 b=9.149 c=5.955 alpha=90.00 beta=126.34 gamma=90.00
Space group C2/c (No. 15)
Asymmetric unit:
Na 0.000 0.123 0.250
Al 0.000 0.489 0.750
S 0.190 0.376 0.172

Largest 6 diffraction maxima, sorted by position, 10 to 90 degrees two-theta:
h k l  2θ/deg  I/Imax
1 1 0  16.3  41
2 2 -1  29.0  100
1 1 1  30.1  27
0 0 2  37.5  22
4 0 -2  43.4  37
2 2 -3  50.6  22